# 1
Diffraction record for Ta5NiH5. The X-ray powder pattern is calculated, not measured: it uses a DFT-relaxed cell (GGA-PBE, Alexandria) and Cu Kα X-rays.

Lattice parameters (Å, degrees): 10.520 3.441 6.623 90.00 106.23 90.00
Space group C2/m (No. 12)
Unique sites:
Ta (0.000, 0.000, 0.000) [2 per cell]
Ta (0.149, 0.500, 0.326) [4 per cell]
Ta (0.160, 0.500, 0.814) [4 per cell]
Ni (0.000, 0.000, 0.500) [2 per cell]
H (0.000, 0.500, 0.500) [2 per cell]
H (0.176, 0.000, 0.952) [4 per cell]
H (0.239, 0.000, 0.385) [4 per cell]

Main lines, by intensity (10 to 90 degrees two-theta):
37.38°, I = 100.0, hkl 3 1 0
37.71°, I = 67.6, hkl 1 1 -2
38.85°, I = 30.6, hkl 4 0 -2
67.86°, I = 22.8, hkl 4 2 -2
53.23°, I = 13.1, hkl 0 2 0
66.86°, I = 12.1, hkl 2 2 2
55.54°, I = 10.7, hkl 2 0 -4
69.82°, I = 10.5, hkl 5 1 -4
67.21°, I = 10.1, hkl 5 1 2
54.51°, I = 10.0, hkl 6 0 0
69.15°, I = 9.9, hkl 7 1 -2
79.71°, I = 9.5, hkl 6 2 0

---

# 2
Diffraction record for Li2Ca6Mg. The X-ray powder pattern is calculated, not measured: it uses a DFT-relaxed cell (GGA-PBE, Alexandria) and Cu Kα X-rays.

Lattice parameters (Å, degrees): 10.410 10.702 11.342 90.00 90.00 90.00
Space group Immm (No. 71)
Unique sites:
Li (0.000, 0.000, 0.123) [4 per cell]
Li (0.140, 0.000, 0.500) [4 per cell]
Ca (0.000, 0.217, 0.319) [8 per cell]
Ca (0.189, 0.223, 0.000) [8 per cell]
Ca (0.198, 0.500, 0.245) [8 per cell]
Mg (0.000, 0.500, 0.000) [2 per cell]
Mg (0.000, 0.500, 0.500) [2 per cell]

Main lines, by intensity (10 to 90 degrees two-theta):
28.64°, I = 100.0, hkl 2 2 2
31.37°, I = 36.3, hkl 3 1 2
30.19°, I = 27.9, hkl 1 2 3
33.49°, I = 24.1, hkl 0 4 0
31.73°, I = 23.4, hkl 3 2 1
25.05°, I = 20.9, hkl 1 0 3
52.78°, I = 20.8, hkl 6 0 0
26.41°, I = 18.3, hkl 1 3 0
26.87°, I = 16.9, hkl 3 0 1
22.85°, I = 15.7, hkl 0 2 2
31.55°, I = 15.7, hkl 0 0 4
50.03°, I = 11.2, hkl 5 0 3

---

# 3
Diffraction record for BaGaPdPt. The X-ray powder pattern is calculated, not measured: it uses a DFT-relaxed cell (GGA-PBE, Alexandria) and Cu Kα X-rays.

Lattice parameters (Å, degrees): 7.683 4.451 6.213 90.00 114.35 90.00
Space group Cm (No. 8)
Unique sites:
Ba (0.000, 0.000, 0.000) [2 per cell]
Ga (0.494, 0.000, 0.482) [2 per cell]
Pd (0.197, 0.000, 0.591) [2 per cell]
Pt (0.300, 0.500, 0.402) [2 per cell]

Main lines, by intensity (10 to 90 degrees two-theta):
35.25°, I = 100.0, hkl 2 0 1
31.37°, I = 91.5, hkl 1 1 1
40.64°, I = 89.1, hkl 3 1 -1
15.66°, I = 74.0, hkl 0 0 1
23.71°, I = 62.7, hkl 1 1 0
40.53°, I = 44.9, hkl 0 2 0
59.50°, I = 42.4, hkl 1 1 3
31.61°, I = 37.2, hkl 0 0 2
52.38°, I = 35.6, hkl 3 1 1
52.29°, I = 25.1, hkl 0 2 2
43.81°, I = 22.5, hkl 3 1 0
88.56°, I = 19.3, hkl 4 2 2

---

# 4
Diffraction record for AcCuPb. The X-ray powder pattern is calculated, not measured: it uses a DFT-relaxed cell (GGA-PBE, Alexandria) and Cu Kα X-rays.

Lattice parameters (Å, degrees): 4.776 8.230 8.696 90.00 90.00 90.00
Space group Cmcm (No. 63)
Unique sites:
Ac (0.000, 0.000, 0.000) [4 per cell]
Cu (0.000, 0.332, 0.250) [4 per cell]
Pb (0.000, 0.334, 0.750) [4 per cell]

Main lines, by intensity (10 to 90 degrees two-theta):
29.85°, I = 100.0, hkl 1 1 2
37.82°, I = 34.3, hkl 1 3 0
57.43°, I = 21.9, hkl 1 3 4
23.87°, I = 18.1, hkl 0 2 1
48.81°, I = 17.5, hkl 2 2 2
37.67°, I = 17.4, hkl 2 0 0
41.54°, I = 13.3, hkl 0 0 4
57.31°, I = 10.4, hkl 2 0 4
68.64°, I = 9.6, hkl 1 1 6
48.98°, I = 8.7, hkl 0 4 2
63.22°, I = 8.2, hkl 3 1 2
63.39°, I = 8.1, hkl 2 4 2

---

# 5
Diffraction record for Dy12Ni5Bi. The X-ray powder pattern is calculated, not measured: it uses a DFT-relaxed cell (GGA-PBE, Alexandria) and Cu Kα X-rays.

Lattice parameters (Å, degrees): 9.383 9.645 9.942 90.00 90.00 90.00
Space group Immm (No. 71)
Unique sites:
Dy (0.000, 0.193, 0.206) [8 per cell]
Dy (0.192, 0.500, 0.180) [8 per cell]
Dy (0.205, 0.321, 0.500) [8 per cell]
Ni (0.000, 0.000, 0.000) [2 per cell]
Ni (0.000, 0.367, 0.000) [4 per cell]
Ni (0.000, 0.500, 0.376) [4 per cell]
Bi (0.000, 0.000, 0.500) [2 per cell]

Main lines, by intensity (10 to 90 degrees two-theta):
32.14°, I = 100.0, hkl 2 2 2
34.41°, I = 67.1, hkl 2 1 3
34.57°, I = 65.3, hkl 1 3 2
30.03°, I = 41.2, hkl 3 1 0
35.38°, I = 38.2, hkl 3 2 1
29.19°, I = 36.2, hkl 0 3 1
60.04°, I = 33.6, hkl 5 3 2
28.55°, I = 30.9, hkl 1 0 3
58.78°, I = 24.2, hkl 2 5 3
54.24°, I = 22.1, hkl 0 3 5
38.37°, I = 20.7, hkl 4 0 0
56.01°, I = 19.1, hkl 3 5 0

---

# 6
Diffraction record for Th7Tc2Sb2. The X-ray powder pattern is calculated, not measured: it uses a DFT-relaxed cell (GGA-PBE, Alexandria) and Cu Kα X-rays.

Lattice parameters (Å, degrees): 4.000 16.266 9.810 90.00 90.00 90.00
Space group Imm2 (No. 44)
Unique sites:
Th (0.000, 0.000, 0.000) [2 per cell]
Th (0.000, 0.133, 0.578) [4 per cell]
Th (0.000, 0.319, 0.376) [4 per cell]
Th (0.000, 0.350, 0.743) [4 per cell]
Tc (0.000, 0.230, 0.064) [4 per cell]
Sb (0.000, 0.000, 0.331) [2 per cell]
Sb (0.000, 0.500, 0.232) [2 per cell]

Main lines, by intensity (10 to 90 degrees two-theta):
32.70°, I = 100.0, hkl 1 4 1
31.96°, I = 75.3, hkl 0 3 3
33.29°, I = 67.8, hkl 1 3 2
29.33°, I = 62.4, hkl 1 1 2
45.35°, I = 32.0, hkl 2 0 0
56.55°, I = 30.9, hkl 2 3 3
28.91°, I = 28.8, hkl 0 5 1
33.04°, I = 27.0, hkl 0 6 0
27.72°, I = 24.6, hkl 1 3 0
27.83°, I = 20.7, hkl 0 1 3
35.46°, I = 20.3, hkl 1 0 3
37.20°, I = 20.2, hkl 1 2 3

---

# 7
Diffraction record for Zr3PbO4F6. The X-ray powder pattern is calculated, not measured: it uses a DFT-relaxed cell (GGA-PBE, Alexandria) and Cu Kα X-rays.

Lattice parameters (Å, degrees): 11.088 11.088 11.088 90.00 90.00 90.00
Space group Fm-3m (No. 225)
Unique sites:
Zr (0.000, 0.000, 0.223) [24 per cell]
Pb (0.250, 0.250, 0.250) [8 per cell]
O (0.116, 0.116, 0.116) [32 per cell]
F (0.000, 0.164, 0.336) [48 per cell]

Main lines, by intensity (10 to 90 degrees two-theta):
27.87°, I = 100.0, hkl 2 2 2
54.93°, I = 47.7, hkl 6 2 2
46.32°, I = 42.6, hkl 4 4 0
32.29°, I = 40.5, hkl 4 0 0
36.23°, I = 21.1, hkl 4 2 0
74.62°, I = 14.1, hkl 6 6 2
42.36°, I = 12.2, hkl 3 3 3
85.88°, I = 12.2, hkl 8 4 4
15.99°, I = 11.1, hkl 2 0 0
57.59°, I = 10.9, hkl 4 4 4
39.83°, I = 10.2, hkl 4 2 2
22.68°, I = 10.0, hkl 2 2 0

---

# 8
Diffraction record for Tl2AsPd5. The X-ray powder pattern is calculated, not measured: it uses a DFT-relaxed cell (GGA-PBE, Alexandria) and Cu Kα X-rays.

Lattice parameters (Å, degrees): 8.774 8.801 7.463 90.00 90.00 90.00
Space group Fmm2 (No. 42)
Unique sites:
Tl (0.250, 0.250, 0.000) [8 per cell]
As (0.000, 0.000, 0.380) [4 per cell]
Pd (0.000, 0.000, 0.015) [4 per cell]
Pd (0.000, 0.235, 0.746) [8 per cell]
Pd (0.234, 0.000, 0.746) [8 per cell]

Main lines, by intensity (10 to 90 degrees two-theta):
37.67°, I = 100.0, hkl 2 2 2
41.02°, I = 22.5, hkl 0 4 0
41.15°, I = 22.2, hkl 4 0 0
31.45°, I = 16.2, hkl 2 0 2
65.65°, I = 15.6, hkl 0 4 4
59.51°, I = 14.5, hkl 4 4 0
72.51°, I = 13.6, hkl 2 6 2
72.70°, I = 13.4, hkl 6 2 2
20.21°, I = 11.3, hkl 0 2 0
48.81°, I = 9.9, hkl 0 0 4
83.77°, I = 9.2, hkl 2 2 6
80.45°, I = 8.5, hkl 4 4 4

---

# 9
Diffraction record for Li4Pu3GaN8. The X-ray powder pattern is calculated, not measured: it uses a DFT-relaxed cell (GGA-PBE, Alexandria) and Cu Kα X-rays.

Lattice parameters (Å, degrees): 11.054 6.486 6.253 90.00 120.45 90.00
Space group C2/m (No. 12)
Unique sites:
Li (0.000, 0.000, 0.000) [2 per cell]
Li (0.000, 0.500, 0.000) [2 per cell]
Li (0.250, 0.250, 0.500) [4 per cell]
Pu (0.000, 0.000, 0.500) [2 per cell]
Pu (0.250, 0.250, 0.000) [4 per cell]
Ga (0.000, 0.500, 0.500) [2 per cell]
N (0.019, 0.253, 0.745) [8 per cell]
N (0.232, 0.000, 0.752) [4 per cell]
N (0.244, 0.000, 0.217) [4 per cell]

Main lines, by intensity (10 to 90 degrees two-theta):
17.51°, I = 100.0, hkl 2 0 -1
32.21°, I = 42.2, hkl 0 2 1
40.11°, I = 33.7, hkl 2 2 -2
33.42°, I = 32.4, hkl 2 2 0
30.70°, I = 23.7, hkl 2 0 1
37.76°, I = 19.8, hkl 4 0 0
43.08°, I = 17.9, hkl 4 2 -1
33.24°, I = 16.4, hkl 0 0 2
16.50°, I = 14.7, hkl 0 0 1
35.46°, I = 14.4, hkl 4 0 -2
54.75°, I = 13.4, hkl 2 2 2
53.78°, I = 11.7, hkl 4 2 -3

---

# 10
Diffraction record for SrLaWN4. The X-ray powder pattern is calculated, not measured: it uses a DFT-relaxed cell (GGA-PBE, Alexandria) and Cu Kα X-rays.

Lattice parameters (Å, degrees): 3.999 3.999 12.978 90.00 90.00 90.00
Space group I4mm (No. 107)
Unique sites:
Sr (0.000, 0.000, 0.000) [2 per cell]
La (0.000, 0.000, 0.288) [2 per cell]
W (0.000, 0.000, 0.638) [2 per cell]
N (0.000, 0.000, 0.490) [2 per cell]
N (0.000, 0.000, 0.808) [2 per cell]
N (0.000, 0.500, 0.154) [4 per cell]

Main lines, by intensity (10 to 90 degrees two-theta):
30.44°, I = 100.0, hkl 1 0 3
31.64°, I = 57.7, hkl 1 1 0
55.61°, I = 38.0, hkl 2 1 3
13.65°, I = 28.5, hkl 0 0 2
45.36°, I = 26.7, hkl 2 0 0
53.33°, I = 18.1, hkl 1 1 6
41.48°, I = 17.3, hkl 1 0 5
63.35°, I = 13.1, hkl 2 0 6
41.76°, I = 11.7, hkl 0 0 6
63.13°, I = 9.9, hkl 2 1 5
75.13°, I = 9.6, hkl 3 1 0
89.85°, I = 8.7, hkl 3 1 6